(1)
Diffraction record for ZrFe2SnO6. The powder diffraction line list is theoretical, not measured: it uses a crystal structure in Alexandria, relaxed with GGA+U and Cu Kα (λ = 1.5418 Å).
Kinematic intensities with the Lorentz-polarization factor, no thermal factor.

Crystal structure
```
data_ZrFe2SnO6
_chemical_formula_sum 'Zr1 Fe2 Sn1 O6'
_cell_length_a 5.3872
_cell_length_b 5.4090
_cell_length_c 5.7010
_cell_angle_alpha 62.58
_cell_angle_beta 62.26
_cell_angle_gamma 60.28
_symmetry_space_group_name_H-M 'P 1'
_symmetry_Int_Tables_number 1
_symmetry_space_group_name_Hall 'P 1'
loop_
_atom_site_label
_atom_site_type_symbol
_atom_site_fract_x
_atom_site_fract_y
_atom_site_fract_z
_atom_site_occupancy
Zr1 Zr 0.0000 0.0000 0.0000 1
Fe1 Fe 0.2058 0.2084 0.3734 1
Fe2 Fe 0.7022 0.7176 0.8597 1
Sn1 Sn 0.4987 0.5077 0.4913 1
O1 O 0.1177 0.7963 0.6921 1
O2 O 0.2869 0.6192 0.1999 1
O3 O 0.3877 0.1303 0.6857 1
O4 O 0.6158 0.8916 0.1896 1
O5 O 0.7773 0.4064 0.7021 1
O6 O 0.8957 0.2886 0.2062 1
```

Main lines, low angle first (15° ≤ 2θ ≤ 90°):
- 22.60°, I 60.9
- 22.70°, I 29.7
- 31.06°, I 57.7
- 31.28°, I 56.3
- 31.51°, I 55.5
- 33.09°, I 100.0
- 33.26°, I 48.7
- 46.04°, I 23.2
- 46.25°, I 23.9
- 46.37°, I 23.5
- 51.11°, I 27.0
- 58.46°, I 22.3

=====

(2)
Diffraction record for Sr2Fe3O6. The powder diffraction line list is theoretical, not measured: it uses a crystal structure in Alexandria, relaxed with GGA+U and Cu Kα (λ = 1.5418 Å).
Kinematic intensities with the Lorentz-polarization factor, no thermal factor.

Crystal structure
```
data_Sr2Fe3O6
_chemical_formula_sum 'Sr8 Fe12 O24'
_cell_length_a 5.6486
_cell_length_b 5.6486
_cell_length_c 19.3729
_cell_angle_alpha 90.00
_cell_angle_beta 90.00
_cell_angle_gamma 90.00
_symmetry_space_group_name_H-M 'P 42/m n m'
_symmetry_Int_Tables_number 136
_symmetry_space_group_name_Hall '-P 4n 2n'
loop_
_atom_site_label
_atom_site_type_symbol
_atom_site_fract_x
_atom_site_fract_y
_atom_site_fract_z
_atom_site_occupancy
Sr1 Sr 0.2375 0.2375 0.0884 1
Fe1 Fe 0.1755 0.1755 0.2951 1
Fe2 Fe 0.2460 0.2460 0.5000 1
O1 O 0.0000 0.0000 0.0000 1
O2 O 0.0000 0.0000 0.5000 1
O3 O 0.0000 0.5000 0.0000 1
O4 O 0.1808 0.8192 0.2858 1
O5 O 0.2439 0.7561 0.1131 1
```

Main lines, low angle first (15° ≤ 2θ ≤ 90°):
- 27.92°, I 14.5
- 31.68°, I 81.9
- 32.19°, I 100.0
- 39.62°, I 15.5
- 42.53°, I 15.9
- 45.41°, I 33.2
- 46.90°, I 17.4
- 54.16°, I 10.9
- 56.75°, I 23.3
- 57.71°, I 17.4
- 61.82°, I 14.2
- 67.34°, I 12.4

=====

(3)
Diffraction record for Sr2Fe2O5. The powder diffraction line list is theoretical, not measured: it uses a crystal structure in Alexandria, relaxed with GGA+U and Cu Kα (λ = 1.5418 Å).
Kinematic intensities with the Lorentz-polarization factor, no thermal factor.

Crystal structure
```
data_Sr2Fe2O5
_chemical_formula_sum 'Sr2 Fe2 O5'
_cell_length_a 3.9592
_cell_length_b 3.9592
_cell_length_c 7.8117
_cell_angle_alpha 90.00
_cell_angle_beta 90.00
_cell_angle_gamma 90.00
_symmetry_space_group_name_H-M 'P 4/m m m'
_symmetry_Int_Tables_number 123
_symmetry_space_group_name_Hall '-P 4 2'
loop_
_atom_site_label
_atom_site_type_symbol
_atom_site_fract_x
_atom_site_fract_y
_atom_site_fract_z
_atom_site_occupancy
Sr1 Sr 0.0000 0.0000 0.0000 1
Sr2 Sr 0.0000 0.0000 0.5000 1
Fe1 Fe 0.5000 0.5000 0.2450 1
O1 O 0.0000 0.5000 0.2846 1
O2 O 0.5000 0.5000 0.0000 1
```

Main lines, low angle first (15° ≤ 2θ ≤ 90°):
- 31.97°, I 39.3
- 32.19°, I 100.0
- 39.61°, I 13.0
- 45.84°, I 32.4
- 46.50°, I 13.7
- 57.12°, I 37.4
- 57.54°, I 17.2
- 66.84°, I 9.4
- 67.35°, I 16.4
- 76.14°, I 7.9
- 77.12°, I 7.7
- 85.31°, I 8.3

=====

(4)
Diffraction record for Sr10Fe10O27. The powder diffraction line list is theoretical, not measured: it uses a crystal structure in Alexandria, relaxed with GGA+U and Cu Kα (λ = 1.5418 Å).
Kinematic intensities with the Lorentz-polarization factor, no thermal factor.

Crystal structure
```
data_Sr10Fe10O27
_chemical_formula_sum 'Sr10 Fe10 O27'
_cell_length_a 3.8569
_cell_length_b 7.9062
_cell_length_c 19.7122
_cell_angle_alpha 90.00
_cell_angle_beta 90.00
_cell_angle_gamma 90.00
_symmetry_space_group_name_H-M 'P m m 2'
_symmetry_Int_Tables_number 25
_symmetry_space_group_name_Hall 'P 2 -2'
loop_
_atom_site_label
_atom_site_type_symbol
_atom_site_fract_x
_atom_site_fract_y
_atom_site_fract_z
_atom_site_occupancy
Sr1 Sr 0.0000 0.2342 0.0000 1
Sr2 Sr 0.0000 0.2338 0.1977 1
Sr3 Sr 0.0000 0.2425 0.7988 1
Sr4 Sr 0.0000 0.2505 0.4013 1
Sr5 Sr 0.0000 0.2586 0.6044 1
Fe1 Fe 0.5000 0.0000 0.0991 1
Fe2 Fe 0.5000 0.0000 0.3021 1
Fe3 Fe 0.5000 0.0000 0.5010 1
Fe4 Fe 0.5000 0.0000 0.6988 1
Fe5 Fe 0.5000 0.0000 0.9002 1
Fe6 Fe 0.5000 0.5000 0.1077 1
Fe7 Fe 0.5000 0.5000 0.3007 1
Fe8 Fe 0.5000 0.5000 0.5003 1
Fe9 Fe 0.5000 0.5000 0.7007 1
Fe10 Fe 0.5000 0.5000 0.8965 1
O1 O 0.0000 0.0000 0.1015 1
O2 O 0.0000 0.0000 0.3020 1
O3 O 0.0000 0.0000 0.6993 1
O4 O 0.0000 0.0000 0.9002 1
O5 O 0.0000 0.5000 0.0881 1
O6 O 0.0000 0.5000 0.4972 1
O7 O 0.0000 0.5000 0.7008 1
O8 O 0.0000 0.5000 0.9222 1
O9 O 0.5000 0.0000 0.0002 1
O10 O 0.5000 0.0000 0.1993 1
O11 O 0.5000 0.0000 0.4055 1
O12 O 0.5000 0.0000 0.5951 1
O13 O 0.5000 0.0000 0.8025 1
O14 O 0.5000 0.2370 0.4996 1
O15 O 0.5000 0.2488 0.7008 1
O16 O 0.5000 0.2588 0.0954 1
O17 O 0.5000 0.2590 0.9065 1
O18 O 0.5000 0.2635 0.3001 1
O19 O 0.5000 0.5000 0.2052 1
O20 O 0.5000 0.5000 0.3950 1
O21 O 0.5000 0.5000 0.6009 1
O22 O 0.5000 0.5000 0.8010 1
```

Main lines, low angle first (15° ≤ 2θ ≤ 90°):
- 32.06°, I 46.9
- 32.45°, I 100.0
- 39.86°, I 16.0
- 45.91°, I 17.6
- 46.04°, I 17.5
- 47.13°, I 16.9
- 57.36°, I 18.5
- 57.44°, I 18.5
- 58.14°, I 17.0
- 67.05°, I 9.7
- 67.91°, I 9.7
- 68.01°, I 9.7

=====

(5)
Diffraction record for Sr3Fe2O5. The powder diffraction line list is theoretical, not measured: it uses a crystal structure in Alexandria, relaxed with GGA+U and Cu Kα (λ = 1.5418 Å).
Kinematic intensities with the Lorentz-polarization factor, no thermal factor.

Crystal structure
```
data_Sr3Fe2O5
_chemical_formula_sum 'Sr6 Fe4 O10'
_cell_length_a 4.0788
_cell_length_b 21.3862
_cell_length_c 3.3962
_cell_angle_alpha 90.00
_cell_angle_beta 90.00
_cell_angle_gamma 90.00
_symmetry_space_group_name_H-M 'C m m m'
_symmetry_Int_Tables_number 65
_symmetry_space_group_name_Hall '-C 2 2'
loop_
_atom_site_label
_atom_site_type_symbol
_atom_site_fract_x
_atom_site_fract_y
_atom_site_fract_z
_atom_site_occupancy
Sr1 Sr 0.0000 0.0000 0.0000 1
Sr2 Sr 0.0000 0.1867 0.0000 1
Fe1 Fe 0.0000 0.4038 0.5000 1
O1 O 0.0000 0.0955 0.5000 1
O2 O 0.0000 0.3092 0.5000 1
O3 O 0.0000 0.5000 0.5000 1
```

Main lines, low angle first (15° ≤ 2θ ≤ 90°):
- 30.28°, I 88.1
- 31.20°, I 32.7
- 34.62°, I 100.0
- 36.55°, I 65.1
- 40.49°, I 44.1
- 42.26°, I 33.7
- 44.42°, I 39.6
- 54.00°, I 21.2
- 58.83°, I 31.3
- 59.27°, I 43.4
- 62.98°, I 18.6
- 63.17°, I 23.1

=====

(6)
Diffraction record for Sr5Fe5O14. The powder diffraction line list is theoretical, not measured: it uses a crystal structure in Alexandria, relaxed with GGA+U and Cu Kα (λ = 1.5418 Å).
Kinematic intensities with the Lorentz-polarization factor, no thermal factor.

Crystal structure
```
data_Sr5Fe5O14
_chemical_formula_sum 'Sr10 Fe10 O28'
_cell_length_a 3.8829
_cell_length_b 7.8779
_cell_length_c 19.6839
_cell_angle_alpha 90.00
_cell_angle_beta 90.00
_cell_angle_gamma 90.00
_symmetry_space_group_name_H-M 'P m m m'
_symmetry_Int_Tables_number 47
_symmetry_space_group_name_Hall '-P 2 2'
loop_
_atom_site_label
_atom_site_type_symbol
_atom_site_fract_x
_atom_site_fract_y
_atom_site_fract_z
_atom_site_occupancy
Sr1 Sr 0.0000 0.2339 0.0000 1
Sr2 Sr 0.0000 0.2431 0.2016 1
Sr3 Sr 0.0000 0.2584 0.3970 1
Fe1 Fe 0.5000 0.0000 0.0999 1
Fe2 Fe 0.5000 0.0000 0.3017 1
Fe3 Fe 0.5000 0.0000 0.5000 1
Fe4 Fe 0.5000 0.5000 0.1046 1
Fe5 Fe 0.5000 0.5000 0.3002 1
Fe6 Fe 0.5000 0.5000 0.5000 1
O1 O 0.0000 0.0000 0.1007 1
O2 O 0.0000 0.0000 0.3009 1
O3 O 0.0000 0.5000 0.0823 1
O4 O 0.0000 0.5000 0.3001 1
O5 O 0.0000 0.5000 0.5000 1
O6 O 0.5000 0.0000 0.0000 1
O7 O 0.5000 0.0000 0.1980 1
O8 O 0.5000 0.0000 0.4053 1
O9 O 0.5000 0.2372 0.5000 1
O10 O 0.5000 0.2490 0.2999 1
O11 O 0.5000 0.2597 0.0936 1
O12 O 0.5000 0.5000 0.2002 1
O13 O 0.5000 0.5000 0.3994 1
```

Main lines, low angle first (15° ≤ 2θ ≤ 90°):
- 32.15°, I 48.9
- 32.38°, I 100.0
- 39.84°, I 17.1
- 46.10°, I 36.3
- 46.79°, I 17.9
- 57.46°, I 37.3
- 57.90°, I 17.9
- 67.25°, I 10.1
- 67.78°, I 10.2
- 67.80°, I 10.3
- 77.66°, I 7.9
- 85.90°, I 10.0

=====

(7)
Diffraction record for Sr2Fe2O5. The powder diffraction line list is theoretical, not measured: it uses a crystal structure in Alexandria, relaxed with GGA+U and Cu Kα (λ = 1.5418 Å).
Kinematic intensities with the Lorentz-polarization factor, no thermal factor.

Crystal structure
```
data_Sr2Fe2O5
_chemical_formula_sum 'Sr16 Fe16 O40'
_cell_length_a 7.9536
_cell_length_b 8.1264
_cell_length_c 15.8458
_cell_angle_alpha 90.00
_cell_angle_beta 90.00
_cell_angle_gamma 90.00
_symmetry_space_group_name_H-M 'F m m m'
_symmetry_Int_Tables_number 69
_symmetry_space_group_name_Hall '-F 2 2'
loop_
_atom_site_label
_atom_site_type_symbol
_atom_site_fract_x
_atom_site_fract_y
_atom_site_fract_z
_atom_site_occupancy
Sr1 Sr 0.0000 0.2323 0.1427 1
Fe1 Fe 0.1811 0.0000 0.5000 1
Fe2 Fe 0.2500 0.0000 0.2500 1
O1 O 0.0000 0.0000 0.2596 1
O2 O 0.0000 0.1647 0.5000 1
O3 O 0.2226 0.0000 0.1093 1
O4 O 0.2500 0.2500 0.2500 1
```

Main lines, low angle first (15° ≤ 2θ ≤ 90°):
- 22.99°, I 9.1
- 31.50°, I 100.0
- 31.89°, I 32.8
- 39.01°, I 12.0
- 41.03°, I 9.8
- 44.60°, I 15.6
- 45.62°, I 11.7
- 45.81°, I 11.4
- 51.20°, I 8.8
- 55.87°, I 14.3
- 56.54°, I 11.1
- 56.64°, I 11.3

=====

(8)
Diffraction record for Sr8Fe8O23. The powder diffraction line list is theoretical, not measured: it uses a crystal structure in Alexandria, relaxed with GGA+U and Cu Kα (λ = 1.5418 Å).
Kinematic intensities with the Lorentz-polarization factor, no thermal factor.

Crystal structure
```
data_Sr8Fe8O23
_chemical_formula_sum 'Sr16 Fe16 O46'
_cell_length_a 11.0891
_cell_length_b 11.0891
_cell_length_c 7.8379
_cell_angle_alpha 90.00
_cell_angle_beta 90.00
_cell_angle_gamma 90.00
_symmetry_space_group_name_H-M 'I 4/m m m'
_symmetry_Int_Tables_number 139
_symmetry_space_group_name_Hall '-I 4 2'
loop_
_atom_site_label
_atom_site_type_symbol
_atom_site_fract_x
_atom_site_fract_y
_atom_site_fract_z
_atom_site_occupancy
Sr1 Sr 0.0000 0.2523 0.0000 1
Sr2 Sr 0.0000 0.2593 0.5000 1
Fe1 Fe 0.0000 0.0000 0.2446 1
Fe2 Fe 0.0000 0.5000 0.2500 1
Fe3 Fe 0.2500 0.2500 0.2500 1
O1 O 0.0000 0.0000 0.0000 1
O2 O 0.0000 0.5000 0.0000 1
O3 O 0.1201 0.1201 0.2816 1
O4 O 0.1253 0.3747 0.2500 1
O5 O 0.2362 0.2362 0.0000 1
```

Main lines, low angle first (15° ≤ 2θ ≤ 90°):
- 22.68°, I 0.9
- 32.30°, I 100.0
- 35.29°, I 0.6
- 39.83°, I 11.6
- 46.32°, I 36.6
- 52.18°, I 0.8
- 57.60°, I 38.1
- 67.59°, I 20.4
- 72.31°, I 0.7
- 76.91°, I 15.7
- 81.42°, I 3.0
- 85.88°, I 6.6